Ba2GeO4: computed powder diffraction line list (copper Kα), based on a GGA-PBE-relaxed structure.
Kinematic intensities with the Lorentz-polarization factor, no thermal factor.

Cell and atoms:
Lattice parameters (Å, degrees): 15.345 6.204 10.577 90.00 90.00 90.00
Element x y z (fractional)
Ba: 0.042 0.231 0.000
Ba: 0.120 0.206 0.627
Ba: 0.130 0.726 0.226
Ba: 0.205 0.712 0.851
Ba: 0.295 0.212 0.351
Ba: 0.370 0.226 0.726
Ba: 0.380 0.706 0.127
Ba: 0.458 0.731 0.500
Ba: 0.542 0.269 0.000
Ba: 0.620 0.294 0.627
Ba: 0.630 0.774 0.226
Ba: 0.705 0.788 0.851
Ba: 0.795 0.288 0.351
Ba: 0.870 0.274 0.726
Ba: 0.880 0.794 0.127
Ba: 0.958 0.769 0.500
Ge: 0.019 0.271 0.342
Ge: 0.237 0.722 0.509
Ge: 0.263 0.222 0.009
Ge: 0.481 0.771 0.842
Ge: 0.519 0.229 0.342
Ge: 0.737 0.778 0.509
Ge: 0.763 0.278 0.009
Ge: 0.981 0.729 0.842
O: 0.004 0.049 0.237
O: 0.028 0.490 0.774
O: 0.039 0.782 0.986
O: 0.128 0.809 0.482
O: 0.131 0.324 0.376
O: 0.207 0.154 0.866
O: 0.207 0.461 0.065
O: 0.249 0.512 0.623
O: 0.251 0.012 0.123
O: 0.293 0.654 0.366
O: 0.293 0.961 0.565
O: 0.369 0.824 0.876
O: 0.372 0.309 0.982
O: 0.461 0.282 0.486
O: 0.472 0.990 0.274
O: 0.496 0.549 0.737
O: 0.504 0.451 0.237
O: 0.528 0.010 0.774
O: 0.539 0.718 0.986
O: 0.628 0.691 0.482
O: 0.631 0.176 0.376
O: 0.707 0.039 0.065
O: 0.707 0.346 0.866
O: 0.749 0.988 0.623
O: 0.751 0.488 0.123
O: 0.793 0.539 0.565
O: 0.793 0.846 0.366
O: 0.869 0.676 0.876
O: 0.872 0.191 0.982
O: 0.961 0.218 0.486
O: 0.972 0.510 0.274
O: 0.996 0.951 0.737

Peak list (6 most intense, 2θ from 15° to 90°, in order of falling intensity)
| 2θ (°) | I (rel.) |
| --- | --- |
| 29.13 | 100 |
| 28.77 | 93 |
| 28.63 | 86 |
| 24.98 | 39 |
| 27.33 | 32 |
| 41.13 | 30 |

---

Ba2GeO4: computed powder diffraction line list (copper Kα), based on a GGA-PBE-relaxed structure.
Kinematic intensities with the Lorentz-polarization factor, no thermal factor.

Cell and atoms:
Lattice parameters (Å, degrees): 6.047 7.709 12.194 90.00 119.72 90.00
Element x y z (fractional)
Ba: 0.057 0.006 0.303
Ba: 0.057 0.494 0.803
Ba: 0.332 0.161 0.086
Ba: 0.332 0.339 0.586
Ba: 0.668 0.661 0.414
Ba: 0.668 0.839 0.914
Ba: 0.943 0.506 0.197
Ba: 0.943 0.994 0.697
Ge: 0.329 0.723 0.078
Ge: 0.329 0.777 0.578
Ge: 0.671 0.223 0.422
Ge: 0.671 0.277 0.922
O: 0.128 0.691 0.634
O: 0.128 0.809 0.134
O: 0.212 0.689 0.423
O: 0.212 0.811 0.923
O: 0.329 0.006 0.577
O: 0.329 0.494 0.077
O: 0.354 0.201 0.824
O: 0.354 0.299 0.324
O: 0.646 0.701 0.676
O: 0.646 0.799 0.176
O: 0.671 0.506 0.923
O: 0.671 0.994 0.423
O: 0.788 0.189 0.077
O: 0.788 0.311 0.577
O: 0.872 0.191 0.866
O: 0.872 0.309 0.366

Peak list (6 most intense, 2θ from 15° to 90°, in order of falling intensity)
| 2θ (°) | I (rel.) |
| --- | --- |
| 28.71 | 100 |
| 29.30 | 84 |
| 29.55 | 61 |
| 25.16 | 41 |
| 41.62 | 26 |
| 51.83 | 21 |

---

BaGe2O5: computed powder diffraction line list (copper Kα), based on a GGA-PBE-relaxed structure.
Kinematic intensities with the Lorentz-polarization factor, no thermal factor.

Cell and atoms:
Lattice parameters (Å, degrees): 5.743 5.743 14.612 90.00 90.00 121.45
Element x y z (fractional)
Ba: 0.162 0.838 0.919
Ba: 0.338 0.662 0.419
Ba: 0.662 0.338 0.581
Ba: 0.838 0.162 0.081
Ge: 0.005 0.995 0.358
Ge: 0.173 0.827 0.183
Ge: 0.327 0.673 0.683
Ge: 0.495 0.505 0.858
Ge: 0.505 0.495 0.142
Ge: 0.673 0.327 0.317
Ge: 0.827 0.173 0.817
Ge: 0.995 0.005 0.642
O: 0.002 0.498 0.750
O: 0.006 0.994 0.239
O: 0.153 0.335 0.906
O: 0.165 0.347 0.594
O: 0.166 0.834 0.601
O: 0.334 0.666 0.101
O: 0.335 0.153 0.094
O: 0.347 0.165 0.406
O: 0.494 0.506 0.739
O: 0.498 0.002 0.250
O: 0.502 0.998 0.750
O: 0.506 0.494 0.261
O: 0.653 0.835 0.594
O: 0.665 0.847 0.906
O: 0.666 0.334 0.899
O: 0.834 0.166 0.399
O: 0.835 0.653 0.406
O: 0.847 0.665 0.094
O: 0.994 0.006 0.761
O: 0.998 0.502 0.250

Peak list (6 most intense, 2θ from 15° to 90°, in order of falling intensity)
| 2θ (°) | I (rel.) |
| --- | --- |
| 31.80 | 100 |
| 30.52 | 56 |
| 41.25 | 33 |
| 25.51 | 25 |
| 40.51 | 23 |
| 36.33 | 22 |